# 1
Starting from a crystal structure in the Materials Project, relaxed with PBE, the X-ray powder pattern of La3ScBeS7 was calculated for Cu Kα, 1.54184 Å.
Neutral-atom scattering factors, no anomalous dispersion.

Peak list (8 most intense, 2θ = 10–80°, low angle first)
two_theta  I/Imax  index
17.7  91  1 0 1
22.7  67  1 1 1
24.9  100  2 0 1
26.6  97  1 2 0
33.7  85  3 0 1
35.9  45  2 0 2
39.5  76  3 1 1
40.1  86  1 2 2

Cell and atoms:
Unit cell a=10.2400 b=10.2400 c=6.0584 alpha=90.00 beta=90.00 gamma=120.00
Space group P6_3 (No. 173)
Asymmetric unit:
La  0.1395  0.3936  0.0000 [6 per cell]
Sc  0.0000  0.0000  0.2712 [2 per cell]
Be  0.3333  0.6667  0.4112 [2 per cell]
S  0.0808  0.2312  0.5242 [6 per cell]
S  0.1137  0.5936  0.2823 [6 per cell]
S  0.3333  0.6667  0.7621 [2 per cell]

---

# 2
Starting from a crystal structure in the Materials Project, relaxed with PBE, the X-ray powder pattern of Li5Sb2P5O18 was calculated for Cu Kα, 1.54184 Å.
Neutral-atom scattering factors, no anomalous dispersion.

Peak list (8 most intense, 2θ = 10–80°, low angle first)
two_theta  I/Imax  index
11.5  72  0 1 1
18.4  65  1 1 -1
19.4  100  0 2 1
26.6  71  0 2 -2
27.3  93  0 1 -3
27.5  76  2 1 0
28.7  64  -2 1 1
40.4  62  3 0 1

Cell and atoms:
Unit cell a=6.8459 b=9.5081 c=11.1279 alpha=81.84 beta=89.93 gamma=88.69
Space group P-1 (No. 2)
Asymmetric unit:
Li  0.0192  0.4674  0.3682 [2 per cell]
Li  0.1395  0.2740  0.1656 [2 per cell]
Li  0.1823  0.6141  0.1483 [2 per cell]
Li  0.3292  0.1227  0.3559 [2 per cell]
Li  0.4160  0.7760  0.9001 [2 per cell]
Sb  0.2167  0.1362  0.8998 [2 per cell]
Sb  0.3448  0.7430  0.4482 [2 per cell]
P  0.1449  0.9195  0.6657 [2 per cell]
P  0.1808  0.2328  0.5985 [2 per cell]
P  0.2199  0.4910  0.8998 [2 per cell]
P  0.3073  0.9207  0.1674 [2 per cell]
P  0.4753  0.4280  0.2849 [2 per cell]
O  0.0332  0.3458  0.5437 [2 per cell]
O  0.0366  0.1684  0.3291 [2 per cell]
O  0.0443  0.5243  0.8150 [2 per cell]
O  0.0695  0.0835  0.6155 [2 per cell]
O  0.1435  0.8137  0.1665 [2 per cell]
O  0.2069  0.3369  0.9736 [2 per cell]
O  0.2470  0.9195  0.7876 [2 per cell]
O  0.2495  0.0744  0.1086 [2 per cell]
O  0.2574  0.6042  0.9797 [2 per cell]
O  0.2601  0.2576  0.7223 [2 per cell]
O  0.2954  0.8915  0.5649 [2 per cell]
O  0.2972  0.5168  0.3126 [2 per cell]
O  0.3571  0.2160  0.5119 [2 per cell]
O  0.3699  0.5918  0.6120 [2 per cell]
O  0.3765  0.9333  0.2989 [2 per cell]
O  0.4183  0.4733  0.8242 [2 per cell]
O  0.4203  0.2905  0.2373 [2 per cell]
O  0.4777  0.8639  0.0883 [2 per cell]